Record 1
For ThBe17Co, a crystal structure in Alexandria, relaxed with PBE gives the computed powder XRD pattern in this record (Cu Kα X-rays).
No peak broadening, texture or thermal motion is included.

Main lines, in order of rising 2θ (2θ from 10° to 90°):
2theta  I_rel
15.60  100
20.96  70
23.24  90
24.22  28
28.11  31
31.50  28
33.82  83
36.79  32
39.51  29
40.84  29
48.05  41
55.50  29

a = 5.7471 Å, b = 5.7471 Å, c = 5.7471 Å
α = 83.50°, β = 83.50°, γ = 83.50°
Fractional positions:
Th1 0.0000 0.0000 0.0000
Be1 0.0038 0.0038 0.5028
Be2 0.0038 0.5028 0.0038
Be3 0.0555 0.3623 0.6343
Be4 0.0555 0.6343 0.3623
Be5 0.2327 0.6834 0.6834
Be6 0.2554 0.2554 0.2554
Be7 0.3434 0.3434 0.8551
Be8 0.3434 0.8551 0.3434
Be9 0.3623 0.0555 0.6343
Be10 0.3623 0.6343 0.0555
Be11 0.4475 0.4475 0.4475
Be12 0.5028 0.0038 0.0038
Be13 0.6343 0.0555 0.3623
Be14 0.6343 0.3623 0.0555
Be15 0.6834 0.2327 0.6834
Be16 0.6834 0.6834 0.2327
Be17 0.8551 0.3434 0.3434
Co1 0.6550 0.6550 0.6550

Record 2
For SrTlAuS2, a crystal structure in Alexandria, relaxed with PBE gives the computed powder XRD pattern in this record (Cu Kα X-rays).
No peak broadening, texture or thermal motion is included.

Main lines, in order of rising 2θ (2θ from 10° to 90°):
2theta  I_rel
15.79  63
23.16  49
24.42  28
25.59  57
27.84  20
28.16  100
30.24  47
32.16  75
41.34  38
43.89  32
45.13  20
52.57  20

a = 7.1163 Å, b = 5.6111 Å, c = 8.2134 Å
α = 90.00°, β = 101.93°, γ = 90.00°
Fractional positions:
Sr1 0.0000 0.0079 0.2500
Sr2 0.0000 0.9921 0.7500
Tl1 0.5000 0.3956 0.7500
Tl2 0.5000 0.6044 0.2500
Au1 0.0000 0.5000 0.0000
Au2 0.0000 0.5000 0.5000
S1 0.2482 0.2214 0.0404
S2 0.2482 0.7786 0.5404
S3 0.7518 0.2214 0.4596
S4 0.7518 0.7786 0.9596

Record 3
For Dy2SF3, a crystal structure in Alexandria, relaxed with PBE gives the computed powder XRD pattern in this record (Cu Kα X-rays).
No peak broadening, texture or thermal motion is included.

Main lines, in order of rising 2θ (2θ from 10° to 90°):
2theta  I_rel
23.88  54
26.97  100
28.29  50
29.26  23
31.52  32
40.65  34
46.17  26
46.29  36
50.50  18
52.64  13
55.04  16
65.83  13

a = 6.7581 Å, b = 6.7581 Å, c = 8.0669 Å
α = 102.10°, β = 102.10°, γ = 33.82°
Fractional positions:
Dy1 0.1114 0.1114 0.4202
Dy2 0.3737 0.3737 0.1421
Dy3 0.6263 0.6263 0.8579
Dy4 0.8886 0.8886 0.5798
S1 0.4126 0.4126 0.8147
S2 0.5874 0.5874 0.1853
F1 0.0818 0.0818 0.6916
F2 0.1922 0.1922 0.9749
F3 0.2865 0.2865 0.3958
F4 0.7135 0.7135 0.6042
F5 0.8078 0.8078 0.0251
F6 0.9182 0.9182 0.3084

Record 4
For Ga3CuNi6, a crystal structure in Alexandria, relaxed with PBE gives the computed powder XRD pattern in this record (Cu Kα X-rays).
No peak broadening, texture or thermal motion is included.

Main lines, in order of rising 2θ (2θ from 10° to 90°):
2theta  I_rel
40.29  13
41.60  20
43.42  35
46.02  100
47.20  27
60.72  7
61.69  12
72.35  7
74.97  5
75.09  5
81.54  17
88.30  8

a = 6.7986 Å, b = 4.1685 Å, c = 8.9530 Å
α = 90.00°, β = 111.30°, γ = 90.00°
Fractional positions:
Ga1 0.0761 0.2500 0.2253
Ga2 0.3010 0.2500 0.0203
Ga3 0.3254 0.7500 0.3794
Ga4 0.6746 0.2500 0.6206
Ga5 0.6990 0.7500 0.9797
Ga6 0.9239 0.7500 0.7747
Cu1 0.1114 0.7500 0.5705
Cu2 0.8886 0.2500 0.4295
Ni1 0.0876 0.2500 0.7245
Ni2 0.1093 0.7500 0.0735
Ni3 0.2881 0.2500 0.5250
Ni4 0.3073 0.7500 0.8681
Ni5 0.4870 0.2500 0.3208
Ni6 0.4872 0.2500 0.8245
Ni7 0.5128 0.7500 0.1755
Ni8 0.5130 0.7500 0.6792
Ni9 0.6927 0.2500 0.1319
Ni10 0.7119 0.7500 0.4750
Ni11 0.8907 0.2500 0.9265
Ni12 0.9124 0.7500 0.2755